Record 1
For CaNdPd6, the GGA-PBE geometry in Alexandria gives the theoretical powder XRD pattern in this record (Cu Kα).
Peak positions follow from Bragg's law for the DFT cell and can differ from measured ones.

Peak list (10 most intense, 2θ from 10° to 90°, by angle)
- 17.15 deg, I = 8, (1 0 0)
- 34.71 deg, I = 25, (2 0 0)
- 37.97 deg, I = 25, (0 0 2)
- 39.72 deg, I = 100, (2 0 1)
- 52.38 deg, I = 15, (2 0 2)
- 62.21 deg, I = 17, (2 2 0)
- 69.76 deg, I = 18, (2 0 3)
- 75.25 deg, I = 19, (2 2 2)
- 76.39 deg, I = 14, (4 0 1)
- 85.60 deg, I = 4, (4 0 2)

Atomic structure:
Cell: 5.9689 5.9689 4.7400 Å, 90.00 90.00 120.00°
Space group P-6m2 (No. 187)
Symmetry-distinct sites (fractional):
Ca1 0.0000 0.0000 0.0000 (multiplicity 1)
Nd1 0.6667 0.3333 0.5000 (multiplicity 1)
Pd1 0.0156 0.5078 0.0000 (multiplicity 3)
Pd2 0.1728 0.3455 0.5000 (multiplicity 3)

Record 2
For U3SiPt5, the GGA-PBE geometry in Alexandria gives the theoretical powder XRD pattern in this record (Cu Kα).
Peak positions follow from Bragg's law for the DFT cell and can differ from measured ones.

Peak list (10 most intense, 2θ from 10° to 90°, by angle)
- 33.97 deg, I = 33, (3 2 1)
- 34.80 deg, I = 100, (3 1 2)
- 35.06 deg, I = 34, (0 2 2)
- 36.33 deg, I = 31, (4 2 0)
- 36.74 deg, I = 32, (1 3 0)
- 37.37 deg, I = 33, (4 0 2)
- 37.69 deg, I = 36, (2 2 2)
- 40.33 deg, I = 19, (0 1 3)
- 41.03 deg, I = 26, (6 0 0)
- 68.65 deg, I = 19, (7 2 3)

Atomic structure:
Cell: 13.199 7.467 7.032 Å, 90.00 90.00 90.00°
Space group Ima2 (No. 46)
Symmetry-distinct sites (fractional):
U1 0.049 0.215 0.000 (multiplicity 8)
U2 0.250 0.635 0.503 (multiplicity 4)
Si1 0.250 0.030 0.500 (multiplicity 4)
Pt1 0.101 0.566 0.205 (multiplicity 8)
Pt2 0.103 0.559 0.791 (multiplicity 8)
Pt3 0.250 0.209 0.803 (multiplicity 4)

Record 3
For TeP, the GGA-PBE geometry in Alexandria gives the theoretical powder XRD pattern in this record (Cu Kα).
Peak positions follow from Bragg's law for the DFT cell and can differ from measured ones.

Peak list (10 most intense, 2θ from 10° to 90°, by angle)
- 19.79 deg, I = 25, (1 0 -1)
- 23.66 deg, I = 84, (1 0 1)
- 28.76 deg, I = 39, (0 0 2)
- 30.58 deg, I = 33, (1 0 -2)
- 31.26 deg, I = 100, (0 1 1)
- 32.34 deg, I = 39, (1 1 0)
- 33.78 deg, I = 46, (2 0 -1)
- 43.72 deg, I = 36, (2 1 0)
- 45.85 deg, I = 38, (1 1 2)
- 49.51 deg, I = 29, (2 1 -2)

Atomic structure:
Cell: 5.488 3.224 6.307 Å, 90.00 100.16 90.00°
Space group P2_1/m (No. 11)
Symmetry-distinct sites (fractional):
Te1 0.156 0.250 0.282 (multiplicity 2)
P1 0.453 0.750 0.877 (multiplicity 2)